For Tm2Lu5Ni2S2, a crystal structure in OQMD, relaxed with GGA-PBE gives the theoretical PXRD pattern in this record (copper Kα).
Neutral-atom scattering factors, no anomalous dispersion.

Main lines, low angle first (10° ≤ 2θ ≤ 90°):
| Position (°2θ) | intensity |
| --- | --- |
| 30.3 | 36.6 |
| 30.5 | 31.1 |
| 31.7 | 22.1 |
| 31.9 | 68.1 |
| 32.4 | 44.0 |
| 35.1 | 53.2 |
| 36.1 | 100.0 |
| 36.5 | 47.0 |
| 38.6 | 22.9 |
| 49.4 | 28.1 |

Cell and atoms:
```
Tm2Lu5Ni2S2
1.0
-1.8435 7.2480 4.5165
1.8435 -7.2480 4.5165
1.8435 7.2480 -4.5165
Tm Lu Ni S
2 5 2 2
Cartesian
0.0000 1.7469 0.0000
0.0000 12.7491 0.0000
1.8435 -2.7022 2.6374
0.0000 0.0000 3.6134
1.8435 2.7022 2.6374
0.0000 5.3097 1.3653
0.0000 9.1862 1.3653
1.8435 3.7941 -0.0806
0.0000 3.4539 4.4359
1.8435 0.0000 1.4192
0.0000 0.0000 6.7808
```